No. 1
For Ga6IrPt3, the PBE geometry in Alexandria gives the simulated X-ray powder pattern in this record (Cu Kα, 1.54184 Å).

Cell and atoms:
```
data_Ga6IrPt3
_space_group_name_H-M_alt 'R -3'
_space_group_IT_number 148
_space_group_name_Hall '-R 3'
_cell_length_a 9.8933
_cell_length_b 9.8933
_cell_length_c 13.0624
_cell_angle_alpha 90.00
_cell_angle_beta 90.00
_cell_angle_gamma 120.00
loop_
_atom_site_label
_atom_site_type_symbol
_atom_site_fract_x
_atom_site_fract_y
_atom_site_fract_z
_atom_site_occupancy
Ga1 Ga 0.0247 0.8337 0.3577 1
Ga2 Ga 0.0524 0.8465 0.8779 1
Ir1 Ir 0.0000 0.0000 0.0000 1
Ir2 Ir 0.0000 0.0000 0.5000 1
Pt1 Pt 0.0204 0.5813 0.8484 1
```

Main lines, in order of falling intensity (2θ from 10° to 90°):
hkl, 2θ/deg, d_spacing, I (rel.)
4 -1 2, 40.39, 2.233, 100
3 -1 4, 39.18, 2.299, 57
0 0 3, 20.40, 4.354, 49
3 -1 1, 28.40, 3.143, 48
1 3 4, 47.31, 1.921, 44
2 -1 3, 27.29, 3.268, 34
1 3 1, 38.51, 2.338, 27
1 2 2, 30.82, 2.901, 21
0 1 2, 17.07, 5.194, 20
0 0 6, 41.48, 2.177, 20

***

No. 2
For ScGaIrPt, the PBE geometry in Alexandria gives the simulated X-ray powder pattern in this record (Cu Kα, 1.54184 Å).

Cell and atoms:
```
data_ScGaIrPt
_space_group_name_H-M_alt 'P m m m'
_space_group_IT_number 47
_space_group_name_Hall '-P 2 2'
_cell_length_a 3.6554
_cell_length_b 4.1616
_cell_length_c 4.1748
_cell_angle_alpha 90.00
_cell_angle_beta 90.00
_cell_angle_gamma 90.00
loop_
_atom_site_label
_atom_site_type_symbol
_atom_site_fract_x
_atom_site_fract_y
_atom_site_fract_z
_atom_site_occupancy
Sc1 Sc 0.0000 0.0000 0.0000 1
Ga1 Ga 0.0000 0.5000 0.5000 1
Ir1 Ir 0.5000 0.5000 0.0000 1
Pt1 Pt 0.5000 0.0000 0.5000 1
```

Main lines, in order of falling intensity (2θ from 10° to 90°):
hkl, 2θ/deg, d_spacing, I (rel.)
1 1 1, 39.27, 2.294, 100
0 1 1, 30.33, 2.947, 27
1 0 0, 24.35, 3.655, 23
0 0 2, 43.35, 2.087, 19
0 2 0, 43.49, 2.081, 19
1 1 3, 76.78, 1.241, 14
1 3 1, 76.99, 1.239, 14
2 0 0, 49.90, 1.828, 13
0 2 2, 63.08, 1.474, 12
2 2 2, 84.44, 1.147, 11

***

No. 3
For Sr2Ga4Ir3Pt, the PBE geometry in Alexandria gives the simulated X-ray powder pattern in this record (Cu Kα, 1.54184 Å).

Cell and atoms:
```
data_Sr2Ga4Ir3Pt
_space_group_name_H-M_alt 'P -4 m 2'
_space_group_IT_number 115
_space_group_name_Hall 'P -4 -2'
_cell_length_a 4.3190
_cell_length_b 4.3190
_cell_length_c 10.5035
_cell_angle_alpha 90.00
_cell_angle_beta 90.00
_cell_angle_gamma 90.00
loop_
_atom_site_label
_atom_site_type_symbol
_atom_site_fract_x
_atom_site_fract_y
_atom_site_fract_z
_atom_site_occupancy
Sr1 Sr 0.0000 0.5000 0.2472 1
Ga1 Ga 0.0000 0.0000 0.5000 1
Ga2 Ga 0.0000 0.5000 0.8708 1
Ga3 Ga 0.5000 0.5000 0.5000 1
Ir1 Ir 0.0000 0.0000 0.0000 1
Ir2 Ir 0.0000 0.5000 0.6289 1
Pt1 Pt 0.5000 0.5000 0.0000 1
```

Main lines, in order of falling intensity (2θ from 10° to 90°):
hkl, 2θ/deg, d_spacing, I (rel.)
1 1 2, 33.96, 2.640, 100
2 0 0, 41.83, 2.159, 80
1 1 4, 45.56, 1.991, 63
1 0 3, 32.93, 2.720, 55
1 1 1, 30.48, 2.933, 37
0 0 2, 16.88, 5.252, 27
2 2 0, 60.64, 1.527, 27
2 1 3, 54.24, 1.691, 26
3 1 4, 79.02, 1.212, 25
1 0 5, 48.17, 1.889, 24

***

No. 4
For Pu2Ga8Ir, the PBE geometry in Alexandria gives the simulated X-ray powder pattern in this record (Cu Kα, 1.54184 Å).

Cell and atoms:
```
data_Pu2Ga8Ir
_space_group_name_H-M_alt 'P 4/m m m'
_space_group_IT_number 123
_space_group_name_Hall '-P 4 2'
_cell_length_a 4.3279
_cell_length_b 4.3279
_cell_length_c 11.1649
_cell_angle_alpha 90.00
_cell_angle_beta 90.00
_cell_angle_gamma 90.00
loop_
_atom_site_label
_atom_site_type_symbol
_atom_site_fract_x
_atom_site_fract_y
_atom_site_fract_z
_atom_site_occupancy
Pu1 Pu 0.0000 0.0000 0.1919 1
Ga1 Ga 0.0000 0.5000 0.0000 1
Ga2 Ga 0.0000 0.5000 0.3760 1
Ga3 Ga 0.5000 0.5000 0.1938 1
Ir1 Ir 0.0000 0.0000 0.5000 1
```

Main lines, in order of falling intensity (2θ from 10° to 90°):
hkl, 2θ/deg, d_spacing, I (rel.)
1 1 3, 38.07, 2.364, 100
1 0 0, 20.52, 4.328, 51
2 0 0, 41.74, 2.164, 51
3 1 3, 73.77, 1.284, 33
1 0 3, 31.71, 2.822, 31
1 1 2, 33.39, 2.683, 22
2 2 0, 60.51, 1.530, 17
2 1 3, 53.35, 1.717, 15
2 0 5, 59.48, 1.554, 14
2 1 0, 46.95, 1.935, 13

***

No. 5
For PuGa12Ir4, the PBE geometry in Alexandria gives the simulated X-ray powder pattern in this record (Cu Kα, 1.54184 Å).

Cell and atoms:
```
data_PuGa12Ir4
_space_group_name_H-M_alt 'I m -3'
_space_group_IT_number 204
_space_group_name_Hall '-I 2 2 3'
_cell_length_a 8.8301
_cell_length_b 8.8301
_cell_length_c 8.8301
_cell_angle_alpha 90.00
_cell_angle_beta 90.00
_cell_angle_gamma 90.00
loop_
_atom_site_label
_atom_site_type_symbol
_atom_site_fract_x
_atom_site_fract_y
_atom_site_fract_z
_atom_site_occupancy
Pu1 Pu 0.0000 0.0000 0.0000 1
Ga1 Ga 0.0000 0.1588 0.3361 1
Ir1 Ir 0.2500 0.2500 0.2500 1
```

Main lines, in order of falling intensity (2θ from 10° to 90°):
hkl, 2θ/deg, d_spacing, I (rel.)
2 2 0, 28.59, 3.122, 100
4 2 2, 50.64, 1.802, 99
3 1 0, 32.05, 2.792, 86
3 2 1, 38.13, 2.360, 59
4 0 2, 45.96, 1.974, 51
2 0 0, 20.11, 4.415, 45
6 2 0, 67.03, 1.396, 31
4 1 3, 52.87, 1.732, 28
4 0 0, 40.88, 2.208, 27
6 4 2, 81.59, 1.180, 22

***

No. 6
For Pu3Ga8Ir3, the PBE geometry in Alexandria gives the simulated X-ray powder pattern in this record (Cu Kα, 1.54184 Å).

Cell and atoms:
```
data_Pu3Ga8Ir3
_space_group_name_H-M_alt 'C 1 2/m 1'
_space_group_IT_number 12
_space_group_name_Hall '-C 2y'
_cell_length_a 15.7062
_cell_length_b 4.4017
_cell_length_c 8.9586
_cell_angle_alpha 90.00
_cell_angle_beta 124.18
_cell_angle_gamma 90.00
loop_
_atom_site_label
_atom_site_type_symbol
_atom_site_fract_x
_atom_site_fract_y
_atom_site_fract_z
_atom_site_occupancy
Pu1 Pu 0.0000 0.0000 0.0000 1
Pu2 Pu 0.2174 0.5000 0.7100 1
Ga1 Ga 0.0065 0.5000 0.6697 1
Ga2 Ga 0.1365 0.0000 0.4287 1
Ga3 Ga 0.1485 0.0000 0.8544 1
Ga4 Ga 0.1511 0.5000 0.2873 1
Ir1 Ir 0.0000 0.0000 0.5000 1
Ir2 Ir 0.1512 0.5000 0.0076 1
```

Main lines, in order of falling intensity (2θ from 10° to 90°):
hkl, 2θ/deg, d_spacing, I (rel.)
3 1 -3, 36.36, 2.471, 100
0 2 0, 41.01, 2.201, 88
3 1 0, 28.92, 3.087, 79
1 1 2, 35.18, 2.551, 60
5 1 -2, 35.44, 2.533, 58
6 0 -2, 34.27, 2.617, 55
5 1 -1, 35.87, 2.503, 52
3 1 1, 35.70, 2.515, 49
3 1 -4, 45.94, 1.975, 35
3 1 -2, 29.31, 3.047, 35

***

No. 7
For RbGaIr2, the PBE geometry in Alexandria gives the simulated X-ray powder pattern in this record (Cu Kα, 1.54184 Å).

Cell and atoms:
```
data_RbGaIr2
_space_group_name_H-M_alt 'I 41/a m d'
_space_group_IT_number 141
_cell_length_a 4.9784
_cell_length_b 4.9784
_cell_length_c 17.3629
_cell_angle_alpha 90.00
_cell_angle_beta 90.00
_cell_angle_gamma 90.00
loop_
_space_group_symop_operation_xyz
'x,y,z'
'-x,-y,-z'
'-y+1/4,x+3/4,z+1/4'
'y+1/4,-x+3/4,-z+1/4'
'-x+1/2,-y,z+1/2'
'x+1/2,y,-z+1/2'
'y+1/4,-x+1/4,z+3/4'
'-y+1/4,x+1/4,-z+3/4'
'x,-y,-z'
'-x,y,z'
'-y+1/4,-x+1/4,-z+3/4'
'y+1/4,x+1/4,z+3/4'
'-x+1/2,y,-z+1/2'
'x+1/2,-y,z+1/2'
'y+1/4,x+3/4,-z+1/4'
'-y+1/4,-x+3/4,z+1/4'
'x+1/2,y+1/2,z+1/2'
'-x+1/2,-y+1/2,-z+1/2'
'-y+3/4,x+1/4,z+3/4'
'y+3/4,-x+1/4,-z+3/4'
'-x,-y+1/2,z'
'x,y+1/2,-z'
'y+3/4,-x+3/4,z+1/4'
'-y+3/4,x+3/4,-z+1/4'
'x+1/2,-y+1/2,-z+1/2'
'-x+1/2,y+1/2,z+1/2'
'-y+3/4,-x+3/4,-z+1/4'
'y+3/4,x+3/4,z+1/4'
'-x,y+1/2,-z'
'x,-y+1/2,z'
'y+3/4,x+1/4,-z+3/4'
'-y+3/4,-x+1/4,z+3/4'
loop_
_atom_site_label
_atom_site_type_symbol
_atom_site_fract_x
_atom_site_fract_y
_atom_site_fract_z
_atom_site_occupancy
Rb1 Rb 0.0000 0.2500 0.3750 1
Ga1 Ga 0.0000 0.2500 0.8750 1
Ir1 Ir 0.0000 0.0000 0.0000 1
```

Main lines, in order of falling intensity (2θ from 10° to 90°):
hkl, 2θ/deg, d_spacing, I (rel.)
1 0 1, 18.54, 4.786, 100
2 0 2, 37.59, 2.393, 77
1 0 3, 23.57, 3.774, 70
2 2 4, 56.41, 1.631, 48
2 0 6, 48.22, 1.887, 38
1 0 5, 31.41, 2.848, 34
2 1 1, 40.86, 2.208, 33
1 1 2, 27.34, 3.262, 32
0 0 8, 41.61, 2.170, 29
0 0 4, 20.46, 4.341, 29

***

No. 8
For Ga4IrRh, the PBE geometry in Alexandria gives the simulated X-ray powder pattern in this record (Cu Kα, 1.54184 Å).

Cell and atoms:
```
data_Ga4IrRh
_space_group_name_H-M_alt 'P -1'
_space_group_IT_number 2
_space_group_name_Hall '-P 1'
_cell_length_a 5.9454
_cell_length_b 5.9461
_cell_length_c 7.2285
_cell_angle_alpha 65.74
_cell_angle_beta 65.75
_cell_angle_gamma 89.85
loop_
_atom_site_label
_atom_site_type_symbol
_atom_site_fract_x
_atom_site_fract_y
_atom_site_fract_z
_atom_site_occupancy
Ga1 Ga 0.0008 0.2502 0.9995 1
Ga2 Ga 0.2478 0.4991 0.5007 1
Ga3 Ga 0.2495 0.0008 0.4995 1
Ga4 Ga 0.4992 0.2486 0.0007 1
Ir1 Ir 0.3754 0.6250 0.7495 1
Rh1 Rh 0.1255 0.8751 0.2494 1
```

Main lines, in order of falling intensity (2θ from 10° to 90°):
hkl, 2θ/deg, d_spacing, I (rel.)
2 0 3, 43.25, 2.092, 100
1 -1 1, 26.04, 3.421, 98
2 2 2, 42.97, 2.105, 25
2 -2 0, 43.09, 2.099, 25
3 1 1, 50.96, 1.792, 20
4 2 5, 79.06, 1.211, 17
4 0 2, 62.48, 1.486, 16
2 2 6, 79.55, 1.205, 12
3 -1 2, 51.04, 1.790, 12
1 1 -2, 51.37, 1.779, 11

***

No. 9
For GaIrRh5, the PBE geometry in Alexandria gives the simulated X-ray powder pattern in this record (Cu Kα, 1.54184 Å).

Cell and atoms:
```
data_GaIrRh5
_space_group_name_H-M_alt 'C 1 2/m 1'
_space_group_IT_number 12
_space_group_name_Hall '-C 2y'
_cell_length_a 5.3865
_cell_length_b 7.8850
_cell_length_c 5.1773
_cell_angle_alpha 90.00
_cell_angle_beta 103.10
_cell_angle_gamma 90.00
loop_
_atom_site_label
_atom_site_type_symbol
_atom_site_fract_x
_atom_site_fract_y
_atom_site_fract_z
_atom_site_occupancy
Ga1 Ga 0.0000 0.0000 0.0000 1
Ir1 Ir 0.0000 0.5000 0.5000 1
Rh1 Rh 0.0000 0.0000 0.5000 1
Rh2 Rh 0.1906 0.2568 0.2382 1
```

Main lines, in order of falling intensity (2θ from 10° to 90°):
hkl, 2θ/deg, d_spacing, I (rel.)
0 2 2, 42.56, 2.124, 100
2 2 0, 41.34, 2.184, 81
2 2 -1, 41.86, 2.158, 40
0 4 0, 46.04, 1.971, 40
2 0 -2, 43.80, 2.067, 38
0 2 1, 28.74, 3.106, 30
0 0 1, 17.59, 5.043, 28
2 0 1, 42.29, 2.137, 23
2 4 -2, 65.43, 1.426, 23
0 0 4, 75.37, 1.261, 20

***

No. 10
For Ga4Ir3Rh, the PBE geometry in Alexandria gives the simulated X-ray powder pattern in this record (Cu Kα, 1.54184 Å).

Cell and atoms:
```
data_Ga4Ir3Rh
_space_group_name_H-M_alt 'P 4/m m m'
_space_group_IT_number 123
_space_group_name_Hall '-P 4 2'
_cell_length_a 4.3299
_cell_length_b 4.3299
_cell_length_c 6.0775
_cell_angle_alpha 90.00
_cell_angle_beta 90.00
_cell_angle_gamma 90.00
loop_
_atom_site_label
_atom_site_type_symbol
_atom_site_fract_x
_atom_site_fract_y
_atom_site_fract_z
_atom_site_occupancy
Ga1 Ga 0.0000 0.5000 0.2482 1
Ir1 Ir 0.0000 0.0000 0.0000 1
Ir2 Ir 0.0000 0.0000 0.5000 1
Ir3 Ir 0.5000 0.5000 0.5000 1
Rh1 Rh 0.5000 0.5000 0.0000 1
```

Main lines, in order of falling intensity (2θ from 10° to 90°):
hkl, 2θ/deg, d_spacing, I (rel.)
1 1 2, 41.89, 2.157, 100
2 0 0, 41.72, 2.165, 51
3 1 2, 76.27, 1.248, 34
1 1 0, 29.17, 3.062, 20
2 2 0, 60.48, 1.531, 17
2 0 4, 76.61, 1.244, 17
0 0 2, 29.39, 3.039, 10
2 0 2, 51.85, 1.763, 9
0 0 4, 60.98, 1.519, 8
3 1 0, 68.53, 1.369, 4

***

No. 11
For Ga8Ir2Rh, the PBE geometry in Alexandria gives the simulated X-ray powder pattern in this record (Cu Kα, 1.54184 Å).

Cell and atoms:
```
data_Ga8Ir2Rh
_space_group_name_H-M_alt 'P -1'
_space_group_IT_number 2
_space_group_name_Hall '-P 1'
_cell_length_a 4.4332
_cell_length_b 6.6845
_cell_length_c 6.6855
_cell_angle_alpha 98.68
_cell_angle_beta 101.27
_cell_angle_gamma 101.63
loop_
_atom_site_label
_atom_site_type_symbol
_atom_site_fract_x
_atom_site_fract_y
_atom_site_fract_z
_atom_site_occupancy
Ga1 Ga 0.9998 0.1466 0.3524 1
Ga2 Ga 0.2063 0.4034 0.9044 1
Ga3 Ga 0.3246 0.6009 0.3768 1
Ga4 Ga 0.3260 0.8759 0.1015 1
Ir1 Ir 0.5003 0.2822 0.2181 1
Rh1 Rh 0.5000 0.0000 0.5000 1
```

Main lines, in order of falling intensity (2θ from 10° to 90°):
hkl, 2θ/deg, d_spacing, I (rel.)
1 0 0, 21.04, 4.222, 100
-2 1 1, 41.69, 2.167, 79
0 1 1, 21.42, 4.149, 79
1 2 -1, 37.76, 2.382, 79
1 -1 2, 37.61, 2.392, 79
0 3 -1, 41.77, 2.162, 63
0 2 2, 43.63, 2.074, 52
1 -3 1, 43.84, 2.065, 48
1 1 -3, 43.94, 2.061, 47
1 0 -3, 42.61, 2.122, 44

***

No. 12
For ScGaIrRh, the PBE geometry in Alexandria gives the simulated X-ray powder pattern in this record (Cu Kα, 1.54184 Å).

Cell and atoms:
```
data_ScGaIrRh
_space_group_name_H-M_alt 'P m m m'
_space_group_IT_number 47
_space_group_name_Hall '-P 2 2'
_cell_length_a 3.3638
_cell_length_b 4.2500
_cell_length_c 4.2765
_cell_angle_alpha 90.00
_cell_angle_beta 90.00
_cell_angle_gamma 90.00
loop_
_atom_site_label
_atom_site_type_symbol
_atom_site_fract_x
_atom_site_fract_y
_atom_site_fract_z
_atom_site_occupancy
Sc1 Sc 0.0000 0.0000 0.0000 1
Ga1 Ga 0.0000 0.5000 0.5000 1
Ir1 Ir 0.5000 0.0000 0.5000 1
Rh1 Rh 0.5000 0.5000 0.0000 1
```

Main lines, in order of falling intensity (2θ from 10° to 90°):
hkl, 2θ/deg, d_spacing, I (rel.)
1 1 1, 40.17, 2.245, 100
0 0 2, 42.27, 2.138, 22
0 2 0, 42.54, 2.125, 21
0 1 1, 29.63, 3.015, 21
1 1 3, 75.86, 1.254, 15
1 3 1, 76.25, 1.249, 15
0 2 2, 61.52, 1.507, 14
1 0 0, 26.50, 3.364, 14
2 2 2, 86.75, 1.122, 11
2 0 0, 54.56, 1.682, 10